Simulated X-ray diffraction stick pattern
Compound: ZnFeO2F5
Radiation: Cu Kα X-rays
Structure: a crystal structure in Alexandria, relaxed with GGA+U
Intensities are scaled so that the largest is 100.

Principal peaks in the range 2θ = 5–70°, most intense first:
hkl, d (Å), 2θ/deg, intensity
0 1 1, 5.373, 16.50, 100
2 2 0, 3.131, 28.51, 67
0 2 2, 2.686, 33.35, 50
2 4 2, 1.810, 50.43, 41
1 0 1, 4.770, 18.60, 34
1 2 1, 3.619, 24.60, 30
2 1 1, 3.097, 28.83, 21
3 4 1, 1.788, 51.09, 21
0 3 1, 3.172, 28.13, 17
4 2 2, 1.548, 59.72, 16

Atomic structure:
Unit cell a=7.579 b=11.115 c=6.138 alpha=90.00 beta=90.00 gamma=90.00
Space group Imma (No. 74)
Unique sites:
Zn  0.000  0.000  0.000 (multiplicity 4)
Fe  0.250  0.250  0.250 (multiplicity 4)
O  0.000  0.031  0.582 (multiplicity 8)
F  0.000  0.250  0.357 (multiplicity 4)
F  0.182  0.125  0.043 (multiplicity 16)